PrNdCu2: calculated X-ray powder pattern (Cu Kα (weighted mean of Kα1 and Kα2)), based on a structure optimized by DFT (GGA-PBE).

Main lines, by angle (2θ from 15° to 90°):
two_theta  d_spacing  I (rel.)
25.1  3.544  26
28.0  3.192  85
29.1  3.069  22
31.2  2.866  100
34.3  2.612  81
35.2  2.550  84
39.3  2.291  61
39.7  2.269  88
40.2  2.243  48
52.5  1.744  21
53.2  1.722  46
57.5  1.603  33

Atomic structure:
Lattice parameters (Å, degrees): 4.5824 7.3450 5.5890 90.00 90.00 90.00
Element x y z (fractional)
1 Pr 0.0000 0.0716 0.0000
2 Pr 0.5000 0.9284 0.5000
3 Nd 0.0000 0.5710 0.2466
4 Nd 0.5000 0.4290 0.7466
5 Cu 0.0000 0.2195 0.4945
6 Cu 0.0000 0.7127 0.7543
7 Cu 0.5000 0.2873 0.2543
8 Cu 0.5000 0.7805 0.9945



BeZnCd2: calculated X-ray powder pattern (Cu Kα (weighted mean of Kα1 and Kα2)), based on a structure optimized by DFT (GGA-PBE).

Main lines, by angle (2θ from 15° to 90°):
two_theta  d_spacing  I (rel.)
23.7  3.748  36
27.5  3.246  6
39.3  2.295  100
46.4  1.957  18
48.6  1.874  2
56.7  1.623  16
62.3  1.489  7
64.2  1.452  2
71.2  1.325  32
76.2  1.249  5
84.4  1.148  10
89.3  1.097  5

Atomic structure:
Lattice parameters (Å, degrees): 4.5903 4.5903 4.5903 60.00 60.00 60.00
Element x y z (fractional)
1 Be 0.0000 0.0000 0.0000
2 Zn 0.7500 0.7500 0.7500
3 Cd 0.2500 0.2500 0.2500
4 Cd 0.5000 0.5000 0.5000



Nd4BBrCl4: calculated X-ray powder pattern (Cu Kα (weighted mean of Kα1 and Kα2)), based on a structure optimized by DFT (GGA-PBE).

Main lines, by angle (2θ from 15° to 90°):
two_theta  d_spacing  I (rel.)
16.7  5.306  16
20.6  4.318  17
27.0  3.300  19
27.6  3.230  17
30.7  2.915  100
31.0  2.889  36
39.1  2.302  15
43.8  2.068  24
44.5  2.036  25
45.1  2.010  14
55.7  1.650  16
63.9  1.457  12

Atomic structure:
Lattice parameters (Å, degrees): 9.1928 9.1928 8.4678 104.56 104.56 25.26
Element x y z (fractional)
1 Nd 0.0009 0.0009 0.2868
2 Nd 0.3505 0.3505 0.4117
3 Nd 0.6495 0.6495 0.5883
4 Nd 0.9991 0.9991 0.7132
5 B 0.5000 0.5000 0.5000
6 Br 0.5000 0.5000 0.0000
7 Cl 0.1652 0.1652 0.8290
8 Cl 0.1700 0.1700 0.3575
9 Cl 0.8300 0.8300 0.6425
10 Cl 0.8348 0.8348 0.1710



Nd3Si2S8Br: calculated X-ray powder pattern (Cu Kα (weighted mean of Kα1 and Kα2)), based on a structure optimized by DFT (GGA-PBE).

Main lines, by angle (2θ from 15° to 90°):
two_theta  d_spacing  I (rel.)
16.4  5.414  100
21.2  4.182  61
23.0  3.863  62
24.4  3.644  76
26.3  3.393  49
32.9  2.726  82
34.0  2.639  36
34.1  2.626  46
34.8  2.576  54
37.8  2.382  42
39.3  2.295  45
40.4  2.231  62

Atomic structure:
Lattice parameters (Å, degrees): 8.7763 8.7763 10.9302 97.06 97.06 52.32
Element x y z (fractional)
1 Nd 0.1128 0.8872 0.7500
2 Nd 0.1801 0.4257 0.3161
3 Nd 0.4257 0.1801 0.8161
4 Nd 0.5743 0.8199 0.1839
5 Nd 0.8199 0.5743 0.6839
6 Nd 0.8872 0.1128 0.2500
7 Si 0.1248 0.1942 0.0288
8 Si 0.1942 0.1248 0.5288
9 Si 0.8058 0.8752 0.4712
10 Si 0.8752 0.8058 0.9712
11 S 0.0532 0.2427 0.8376
12 S 0.0922 0.7760 0.4546
13 S 0.1046 0.6049 0.8553
14 S 0.2125 0.3553 0.5857
15 S 0.2240 0.9078 0.0454
16 S 0.2427 0.0532 0.3376
17 S 0.3553 0.2125 0.0857
18 S 0.3951 0.8954 0.6447
19 S 0.6049 0.1046 0.3553
20 S 0.6447 0.7875 0.9143
21 S 0.7573 0.9468 0.6624
22 S 0.7760 0.0922 0.9546
23 S 0.7875 0.6447 0.4143
24 S 0.8954 0.3951 0.1447
25 S 0.9078 0.2240 0.5454
26 S 0.9468 0.7573 0.1624
27 Br 0.4945 0.5055 0.2500
28 Br 0.5055 0.4945 0.7500



ZrTlHgF7: calculated X-ray powder pattern (Cu Kα (weighted mean of Kα1 and Kα2)), based on a structure optimized by DFT (GGA-PBE).

Main lines, by angle (2θ from 15° to 90°):
two_theta  d_spacing  I (rel.)
26.1  3.419  100
26.3  3.394  71
26.7  3.339  81
28.1  3.174  89
37.8  2.380  60
42.5  2.127  32
46.2  1.964  31
47.5  1.914  30
49.3  1.850  51
50.6  1.802  24
51.7  1.767  34
65.6  1.423  22

Atomic structure:
Lattice parameters (Å, degrees): 6.3648 8.5091 6.3694 90.00 115.58 90.00
Element x y z (fractional)
1 Zr 0.1931 0.2500 0.3025
2 Zr 0.8069 0.7500 0.6975
3 Tl 0.5000 0.0000 0.0000
4 Tl 0.5000 0.5000 0.0000
5 Hg 0.1982 0.7500 0.3058
6 Hg 0.8018 0.2500 0.6942
7 F 0.0066 0.2500 0.4889
8 F 0.1647 0.7500 0.9284
9 F 0.1804 0.2500 0.9640
10 F 0.2158 0.0166 0.2788
11 F 0.2158 0.4834 0.2788
12 F 0.4240 0.2500 0.6600
13 F 0.4676 0.7500 0.6838
14 F 0.5324 0.2500 0.3162
15 F 0.5760 0.7500 0.3400
16 F 0.7842 0.5166 0.7212
17 F 0.7842 0.9834 0.7212
18 F 0.8196 0.7500 0.0360
19 F 0.8353 0.2500 0.0716
20 F 0.9934 0.7500 0.5111



CsGd2Ag3Se5: calculated X-ray powder pattern (Cu Kα (weighted mean of Kα1 and Kα2)), based on a structure optimized by DFT (GGA-PBE).

Main lines, by angle (2θ from 15° to 90°):
two_theta  d_spacing  I (rel.)
26.2  3.398  47
26.8  3.322  39
27.3  3.264  86
28.7  3.108  96
30.5  2.933  94
33.8  2.651  90
35.6  2.525  81
37.0  2.427  75
37.6  2.392  42
41.7  2.164  88
45.2  2.005  100
52.6  1.741  40

Atomic structure:
Lattice parameters (Å, degrees): 8.0684 8.0684 17.5977 90.00 90.00 148.89
Element x y z (fractional)
1 Cs 0.0621 0.9379 0.7500
2 Cs 0.9379 0.0621 0.2500
3 Gd 0.1921 0.8079 0.0949
4 Gd 0.1921 0.8079 0.4051
5 Gd 0.8079 0.1921 0.5949
6 Gd 0.8079 0.1921 0.9051
7 Ag 0.3432 0.6568 0.7500
8 Ag 0.4159 0.5841 0.0405
9 Ag 0.4159 0.5841 0.4595
10 Ag 0.5841 0.4159 0.5405
11 Ag 0.5841 0.4159 0.9595
12 Ag 0.6568 0.3432 0.2500
13 Se 0.1813 0.8187 0.5703
14 Se 0.1813 0.8187 0.9297
15 Se 0.2532 0.7468 0.2500
16 Se 0.4323 0.5677 0.6163
17 Se 0.4323 0.5677 0.8837
18 Se 0.5677 0.4323 0.1163
19 Se 0.5677 0.4323 0.3837
20 Se 0.7468 0.2532 0.7500
21 Se 0.8187 0.1813 0.0703
22 Se 0.8187 0.1813 0.4297



Question: Number 1 is which compound?
Answer: PrNdCu2



Please write out number 3 again, unchanged.
Nd4BBrCl4: calculated X-ray powder pattern (Cu Kα (weighted mean of Kα1 and Kα2)), based on a structure optimized by DFT (GGA-PBE).

Main lines, by angle (2θ from 15° to 90°):
two_theta  d_spacing  I (rel.)
16.7  5.306  16
20.6  4.318  17
27.0  3.300  19
27.6  3.230  17
30.7  2.915  100
31.0  2.889  36
39.1  2.302  15
43.8  2.068  24
44.5  2.036  25
45.1  2.010  14
55.7  1.650  16
63.9  1.457  12

Atomic structure:
Lattice parameters (Å, degrees): 9.1928 9.1928 8.4678 104.56 104.56 25.26
Element x y z (fractional)
1 Nd 0.0009 0.0009 0.2868
2 Nd 0.3505 0.3505 0.4117
3 Nd 0.6495 0.6495 0.5883
4 Nd 0.9991 0.9991 0.7132
5 B 0.5000 0.5000 0.5000
6 Br 0.5000 0.5000 0.0000
7 Cl 0.1652 0.1652 0.8290
8 Cl 0.1700 0.1700 0.3575
9 Cl 0.8300 0.8300 0.6425
10 Cl 0.8348 0.8348 0.1710